Simulated X-ray diffraction stick pattern of PBr2N for a wavelength of 1.5418 Å, from a structure optimized by DFT (GGA-PBE).

The 10 most intense peaks (2θ = 5–70°), low angle first:
h k l, d/Å, intensity
2 2 0, 4.214, 37
1 3 0, 3.769, 100
2 2 1, 3.580, 44
3 0 1, 3.429, 52
3 1 1, 3.295, 51
1 0 2, 3.263, 36
4 0 0, 2.974, 37
2 1 2, 2.862, 52
2 6 0, 1.884, 42
1 8 2, 1.355, 25

Crystal structure
```
PBr2N
1.0
11.919 0.000 0.000
0.000 11.919 0.000
0.000 0.000 6.785
P Br N
8 16 8
Cartesian
1.049 2.471 1.349 P
2.471 4.911 2.043 P
3.489 1.049 2.043 P
4.911 3.489 1.349 P
7.008 8.431 5.436 P
8.431 10.870 4.742 P
9.448 7.008 4.742 P
10.870 9.448 5.436 P
0.699 1.802 6.061 Br
0.945 9.613 4.502 Br
1.802 5.260 4.117 Br
2.307 6.905 1.110 Br
3.653 10.974 1.110 Br
4.158 0.699 4.117 Br
5.014 8.266 4.502 Br
5.260 4.158 6.061 Br
6.659 7.761 0.724 Br
6.905 3.653 2.283 Br
7.761 11.220 2.668 Br
8.266 0.945 5.675 Br
9.613 5.014 5.675 Br
10.117 6.659 2.668 Br
10.974 2.307 2.283 Br
11.220 10.117 0.724 Br
1.454 4.001 1.229 N
1.958 1.454 2.164 N
4.001 4.505 2.164 N
4.505 1.958 1.229 N
7.414 9.961 5.556 N
7.918 7.414 4.621 N
9.961 10.465 4.621 N
10.465 7.918 5.556 N
```